For CaFe8O14F2, a cell relaxed with GGA+U gives the computed powder X-ray diffraction pattern in this record (Cu Kα).
Neutral-atom scattering factors, no anomalous dispersion.

Most intense lines, 10 to 90 degrees two-theta, by intensity:
two_theta	d_spacing	I/Imax
27.08	3.293	100
27.93	3.194	48
54.35	1.688	31
35.82	2.507	29
28.31	3.153	27
34.49	2.601	23
57.69	1.598	23
53.24	1.721	20
40.21	2.243	19
38.10	2.362	18

Structure:
a = 4.496 Å, b = 4.731 Å, c = 13.786 Å
α = 82.35°, β = 87.38°, γ = 87.95°
Space group P1 (No. 1)
Unique sites:
Ca (0.000, 0.000, 0.000)
Fe (0.319, 0.600, 0.846)
Fe (0.375, 0.670, 0.640)
Fe (0.398, 0.359, 0.097)
Fe (0.399, 0.758, 0.427)
Fe (0.436, 0.838, 0.205)
Fe (0.861, 0.131, 0.743)
Fe (0.879, 0.270, 0.300)
Fe (0.880, 0.219, 0.523)
O (0.052, 0.913, 0.846)
O (0.075, 0.973, 0.638)
O (0.096, 0.060, 0.412)
O (0.114, 0.137, 0.184)
O (0.155, 0.436, 0.743)
O (0.183, 0.536, 0.532)
O (0.197, 0.509, 0.985)
O (0.529, 0.993, 0.067)
O (0.562, 0.824, 0.746)
O (0.580, 0.900, 0.535)
O (0.606, 0.960, 0.312)
O (0.654, 0.497, 0.183)
O (0.668, 0.372, 0.638)
O (0.669, 0.440, 0.412)
F (0.159, 0.602, 0.297)
F (0.648, 0.296, 0.865)